Structure and simulated powder XRD pattern of CeSmP2O8 (DFT lattice parameters and positions (GGA-PBE); Cu Kα X-rays).
Peak positions follow from Bragg's law for the DFT cell and can differ from measured ones.

Principal peaks in the range 10° ≤ 2θ ≤ 90°, by angle:
(hkl)  d [Å]  intensity
1 0 0  4.606  100
0 1 1  3.896  20
1 0 2  2.862  80
1 1 0  2.659  49
2 -1 2  2.150  41
0 2 2  1.948  38
1 2 0  1.741  16
0 1 4  1.697  16
2 1 2  1.571  25
1 1 4  1.505  13

Cell and atoms:
Lattice parameters (Å, degrees): 5.3184 5.3184 7.3039 90.00 90.00 120.00
Space group P-3 (No. 147)
Symmetry-distinct sites (fractional):
Ce 0.0000 0.0000 0.0000
Sm 0.0000 0.0000 0.5000
P 0.3333 0.6667 0.8003
O 0.1736 0.3496 0.7264
O 0.3333 0.6667 0.0094



Structure and simulated powder XRD pattern of Li4Hg6Bi (DFT lattice parameters and positions (GGA-PBE); Cu Kα X-rays).
Peak positions follow from Bragg's law for the DFT cell and can differ from measured ones.

Principal peaks in the range 10° ≤ 2θ ≤ 90°, by angle:
(hkl)  d [Å]  intensity
0 2 1  4.170  71
0 0 2  3.967  41
0 2 2  3.084  45
2 0 -1  3.057  100
1 3 0  2.836  52
0 0 3  2.645  36
1 3 1  2.531  67
2 2 -2  2.465  44
0 2 3  2.328  31
1 3 -3  2.134  23

Cell and atoms:
Lattice parameters (Å, degrees): 6.1134 9.8038 8.4937 90.00 110.91 90.00
Space group Cm (No. 8)
Symmetry-distinct sites (fractional):
Li 0.0000 0.0000 0.0000
Li 0.0141 0.5000 0.0005
Li 0.2857 0.2505 0.5551
Hg 0.0804 0.0000 0.6419
Hg 0.1066 0.5000 0.6957
Hg 0.2072 0.2385 0.9024
Hg 0.3924 0.3364 0.2701
Bi 0.4134 0.0000 0.3171



Structure and simulated powder XRD pattern of Tm7In5 (DFT lattice parameters and positions (GGA-PBE); Cu Kα X-rays).
Peak positions follow from Bragg's law for the DFT cell and can differ from measured ones.

Principal peaks in the range 10° ≤ 2θ ≤ 90°, by angle:
(hkl)  d [Å]  intensity
3 1 -2  2.907  35
3 1 0  2.891  47
0 0 4  2.685  86
3 1 -3  2.638  100
3 1 1  2.615  91
6 0 -4  2.533  35
6 0 0  2.492  36
0 2 0  1.775  26
9 1 -3  1.672  41
0 2 4  1.480  28

Cell and atoms:
Lattice parameters (Å, degrees): 17.0572 3.5491 12.2515 90.00 118.76 90.00
Space group C2/m (No. 12)
Symmetry-distinct sites (fractional):
Tm 0.0000 0.0000 0.0000
Tm 0.0331 0.5000 0.2492
Tm 0.1417 0.0000 0.7600
Tm 0.1666 0.0000 0.5066
In 0.0000 0.5000 0.5000
In 0.1582 0.5000 0.9961
In 0.1968 0.0000 0.2566



Structure and simulated powder XRD pattern of Li2Th2Co15 (DFT lattice parameters and positions (GGA-PBE); Cu Kα X-rays).
Peak positions follow from Bragg's law for the DFT cell and can differ from measured ones.

Principal peaks in the range 10° ≤ 2θ ≤ 90°, by angle:
(hkl)  d [Å]  intensity
1 0 1  6.247  31
0 2 1  3.492  24
1 1 3  2.913  63
2 1 1  2.688  24
3 0 0  2.431  30
0 2 4  2.329  23
2 2 0  2.106  47
3 0 3  2.082  100
0 0 6  2.017  36
4 1 3  1.481  24

Cell and atoms:
Lattice parameters (Å, degrees): 8.4223 8.4223 12.1049 90.00 90.00 120.00
Space group R-3m (No. 166, hexagonal axes)
Symmetry-distinct sites (fractional):
Li 0.0000 0.0000 0.0945
Th 0.0000 0.0000 0.3442
Co 0.0000 0.2887 0.0000
Co 0.9998 0.4999 0.1524
Co 0.0000 0.5000 0.5000